# Ba2LiCa
Computed X-ray diffraction stick pattern, Cu Kα. Input: a DFT-relaxed cell (GGA-PBE, Alexandria).
Kinematic intensities with the Lorentz-polarization factor, no thermal factor.

Structural model:
```
data_Ba2LiCa
_cell_length_a 14.820
_cell_length_b 4.347
_cell_length_c 6.624
_cell_angle_alpha 90.00
_cell_angle_beta 116.25
_cell_angle_gamma 90.00
_symmetry_space_group_name_H-M 'C 1 m 1'
_symmetry_Int_Tables_number 8
_symmetry_space_group_name_Hall 'C -2y'
loop_
_atom_site_label
_atom_site_fract_x
_atom_site_fract_y
_atom_site_fract_z
Ba1 0.000 0.000 0.000
Ba2 0.207 0.000 0.704
Li1 0.226 0.500 0.223
Ca1 0.424 0.000 0.424
```

Largest 10 diffraction maxima, by angle, 2θ from 10° to 80°:
(2 0 -1), 2θ = 14.94°, 5.928 Å, I 34.3; (1 1 0), 2θ = 21.51°, 4.131 Å, I 40.3; (2 0 1), 2θ = 24.11°, 3.692 Å, I 27.4; (4 0 -1), 2θ = 24.23°, 3.674 Å, I 26.9; (2 0 -2), 2θ = 26.89°, 3.316 Å, I 50.2; (3 1 -1), 2θ = 27.98°, 3.188 Å, I 100.0; (1 1 -2), 2θ = 34.72°, 2.584 Å, I 24.0; (5 1 0), 2θ = 39.75°, 2.268 Å, I 19.8; (3 1 2), 2θ = 48.58°, 1.874 Å, I 18.7; (7 1 -2), 2θ = 48.73°, 1.869 Å, I 18.5